This entry pairs a crystal structure of Nd8TmSc3 with its computed PXRD pattern. Radiation: CuKα. Structure: a structure optimized by DFT (GGA-PBE).
No peak broadening, texture or thermal motion is included.

Structural model:
```
data_Nd8TmSc3
_cell_length_a 6.7874
_cell_length_b 10.7803
_cell_length_c 11.5132
_cell_angle_alpha 90.00
_cell_angle_beta 90.00
_cell_angle_gamma 90.00
_space_group_name_H-M_alt 'I m m m'
_space_group_IT_number 71
_space_group_name_Hall '-I 2 2'
loop_
_atom_site_label
_atom_site_type_symbol
_atom_site_fract_x
_atom_site_fract_y
_atom_site_fract_z
Nd1 Nd 0.0000 0.1635 0.2485
Nd2 Nd 0.2237 0.2864 0.5000
Tm1 Tm 0.0000 0.0000 0.5000
Sc1 Sc 0.0000 0.0000 0.0000
Sc2 Sc 0.0000 0.5000 0.2857
```

Principal peaks in the range 2θ = 5–70°, most intense first:
2theta	intensity
32.19	100
34.90	91
31.09	82
30.58	65
15.43	57
16.45	34
55.96	29
57.80	27
36.82	27
25.98	22